The following is a simulated X-ray powder pattern of NaAg3O2. It was derived from a crystal structure in the Materials Project, relaxed with GGA-PBE, using CuKα.

Cell and atoms:
```
data_NaAg3O2
_chemical_formula_sum 'Na4 Ag12 O8'
_space_group_name_H-M_alt 'I b a m'
_space_group_IT_number 72
_space_group_name_Hall '-I 2 2c'
_cell_length_a 6.2605
_cell_length_b 10.5926
_cell_length_c 6.0581
_cell_angle_alpha 90.00
_cell_angle_beta 90.00
_cell_angle_gamma 90.00
loop_
_atom_site_label
_atom_site_type_symbol
_atom_site_fract_x
_atom_site_fract_y
_atom_site_fract_z
_atom_site_occupancy
Na1 Na 0.0000 0.0000 0.2500 1
Ag1 Ag 0.0000 0.5000 0.0000 1
Ag2 Ag 0.2500 0.2500 0.2500 1
O1 O 0.2121 0.1103 0.0000 1
```

Largest 12 diffraction maxima, low angle first, 2θ = 10–80°:
2θ (°), I/Imax
16.4, 288
16.7, 138
33.2, 1000
33.9, 663
34.1, 746
41.5, 340
41.9, 161
45.0, 132
54.6, 408
60.2, 184
69.9, 166
71.5, 196